Record 1
The following is a theoretical PXRD pattern of LaSeO5. It was derived from a cell relaxed with GGA-PBE, using Cu Kα.

Atomic structure:
```
data_LaSeO5
_cell_length_a 7.651
_cell_length_b 7.651
_cell_length_c 4.370
_cell_angle_alpha 90.00
_cell_angle_beta 90.00
_cell_angle_gamma 90.00
_symmetry_space_group_name_H-M 'P 4/n m m'
_symmetry_Int_Tables_number 129
loop_
_symmetry_equiv_pos_as_xyz
'x,y,z'
'-x,-y,-z'
'-y+1/2,x,z'
'y+1/2,-x,-z'
'-x+1/2,-y+1/2,z'
'x+1/2,y+1/2,-z'
'y,-x+1/2,z'
'-y,x+1/2,-z'
'x+1/2,-y,-z'
'-x+1/2,y,z'
'-y,-x,-z'
'y,x,z'
'-x,y+1/2,-z'
'x,-y+1/2,z'
'y+1/2,x+1/2,-z'
'-y+1/2,-x+1/2,z'
loop_
_atom_site_label
_atom_site_type_symbol
_atom_site_fract_x
_atom_site_fract_y
_atom_site_fract_z
La1 La 0.250 0.250 0.232
Se1 Se 0.250 0.750 0.000
O1 O 0.071 0.750 0.782
O2 O 0.250 0.250 0.734
```

Peak list (10 most intense, 2θ from 5° to 70°, in order of rising 2θ)
Position (°2θ)	Rel. int.
23.25	100.0
23.44	60.3
33.12	23.8
33.26	18.1
40.97	23.9
44.73	23.3
47.54	15.3
47.64	16.2
53.60	21.2
56.77	31.8

Record 2
The following is a theoretical PXRD pattern of AlCu14Ni. It was derived from a cell relaxed with GGA-PBE, using Cu Kα.

Atomic structure:
```
data_AlCu14Ni
_cell_length_a 8.403
_cell_length_b 5.095
_cell_length_c 8.949
_cell_angle_alpha 90.00
_cell_angle_beta 90.00
_cell_angle_gamma 90.00
_symmetry_space_group_name_H-M 'A m m 2'
_symmetry_Int_Tables_number 38
_symmetry_space_group_name_Hall 'A 2 -2'
loop_
_atom_site_label
_atom_site_type_symbol
_atom_site_fract_x
_atom_site_fract_y
_atom_site_fract_z
Al1 Al 0.000 0.000 0.000
Cu1 Cu 0.000 0.249 0.251
Cu2 Cu 0.250 0.000 0.664
Cu3 Cu 0.250 0.249 0.415
Cu4 Cu 0.251 0.000 0.165
Cu5 Cu 0.500 0.000 0.330
Cu6 Cu 0.500 0.000 0.830
Cu7 Cu 0.500 0.250 0.080
Ni1 Ni 0.000 0.000 0.501
```

Peak list (10 most intense, 2θ from 5° to 70°, in order of rising 2θ)
Position (°2θ)	Rel. int.
40.31	4.8
40.76	11.4
41.78	19.7
42.22	41.6
43.06	55.5
45.96	55.6
46.36	100.0
52.34	9.8
52.70	20.9
60.78	6.4

Record 3
The following is a theoretical PXRD pattern of Nd2YMg9. It was derived from a cell relaxed with GGA-PBE, using Cu Kα.

Atomic structure:
```
data_Nd2YMg9
_cell_length_a 6.0773
_cell_length_b 6.0773
_cell_length_c 29.5044
_cell_angle_alpha 90.00
_cell_angle_beta 90.00
_cell_angle_gamma 120.00
_symmetry_space_group_name_H-M 'R -3 m'
_symmetry_Int_Tables_number 166
_symmetry_space_group_name_Hall '-R 3 2"'
loop_
_atom_site_label
_atom_site_type_symbol
_atom_site_fract_x
_atom_site_fract_y
_atom_site_fract_z
Nd1 Nd 0.0000 0.0000 0.1415
Y1 Y 0.0000 0.0000 0.0000
Mg1 Mg 0.0000 0.0000 0.3339
Mg2 Mg 0.0000 0.0000 0.5000
Mg3 Mg 0.0032 0.5016 0.9172
```

Peak list (10 most intense, 2θ from 5° to 70°, in order of rising 2θ)
Position (°2θ)	Rel. int.
8.99	44.0
17.11	56.1
20.73	24.7
27.10	85.2
29.39	81.8
29.58	49.0
34.21	42.0
34.70	100.0
50.75	30.1
55.64	41.0

Record 4
The following is a theoretical PXRD pattern of Ca2SbI. It was derived from a cell relaxed with GGA-PBE, using Cu Kα.

Atomic structure:
```
data_Ca2SbI
_cell_length_a 9.360
_cell_length_b 7.740
_cell_length_c 7.804
_cell_angle_alpha 90.00
_cell_angle_beta 90.00
_cell_angle_gamma 90.00
_symmetry_space_group_name_H-M 'P b c m'
_symmetry_Int_Tables_number 57
_symmetry_space_group_name_Hall '-P 2c 2b'
loop_
_atom_site_label
_atom_site_type_symbol
_atom_site_fract_x
_atom_site_fract_y
_atom_site_fract_z
Ca1 Ca 0.084 0.250 0.000
Ca2 Ca 0.343 0.750 0.000
Sb1 Sb 0.138 0.568 0.250
I1 I 0.387 0.089 0.250
```

Peak list (10 most intense, 2θ from 5° to 70°, in order of rising 2θ)
Position (°2θ)	Rel. int.
22.79	17.4
24.99	100.0
25.70	42.5
32.02	42.2
32.59	26.5
38.47	14.1
39.90	30.6
41.39	25.8
46.84	14.8
62.94	15.2

Record 5
The following is a theoretical PXRD pattern of Co5H. It was derived from a cell relaxed with GGA-PBE, using Cu Kα.

Atomic structure:
```
data_Co5H
_cell_length_a 2.499
_cell_length_b 4.980
_cell_length_c 9.251
_cell_angle_alpha 90.00
_cell_angle_beta 97.73
_cell_angle_gamma 90.00
_symmetry_space_group_name_H-M 'P 1 21/m 1'
_symmetry_Int_Tables_number 11
_symmetry_space_group_name_Hall '-P 2yb'
loop_
_atom_site_label
_atom_site_type_symbol
_atom_site_fract_x
_atom_site_fract_y
_atom_site_fract_z
Co1 Co 0.000 0.000 0.000
Co2 Co 0.192 0.000 0.382
Co3 Co 0.403 0.250 0.807
Co4 Co 0.404 0.750 0.809
H1 H 0.267 0.750 0.533
```

Peak list (10 most intense, 2θ from 5° to 70°, in order of rising 2θ)
Position (°2θ)	Rel. int.
9.65	3.6
36.07	3.6
37.42	9.0
41.26	35.1
43.84	100.0
47.08	53.8
49.73	29.9
52.09	55.1
54.11	7.0
54.41	3.1

Record 6
The following is a theoretical PXRD pattern of PaSe2Cl5. It was derived from a cell relaxed with GGA-PBE, using Cu Kα.

Atomic structure:
```
data_PaSe2Cl5
_cell_length_a 11.487
_cell_length_b 11.594
_cell_length_c 5.322
_cell_angle_alpha 90.00
_cell_angle_beta 90.00
_cell_angle_gamma 90.00
_symmetry_space_group_name_H-M 'I m m 2'
_symmetry_Int_Tables_number 44
_symmetry_space_group_name_Hall 'I 2 -2'
loop_
_atom_site_label
_atom_site_type_symbol
_atom_site_fract_x
_atom_site_fract_y
_atom_site_fract_z
Pa1 Pa 0.000 0.000 0.000
Se1 Se 0.000 0.500 0.203
Se2 Se 0.000 0.500 0.785
Cl1 Cl 0.000 0.000 0.500
Cl2 Cl 0.154 0.153 0.000
```

Peak list (10 most intense, 2θ from 5° to 70°, in order of rising 2θ)
Position (°2θ)	Rel. int.
10.84	47.5
15.28	68.4
15.43	65.8
18.36	100.0
21.78	86.2
24.00	36.0
32.66	37.0
34.66	28.7
35.48	50.6
47.82	30.0

Record 7
The following is a theoretical PXRD pattern of Si6Ni3Au. It was derived from a cell relaxed with GGA-PBE, using Cu Kα.

Atomic structure:
```
data_Si6Ni3Au
_cell_length_a 3.7761
_cell_length_b 3.7761
_cell_length_c 34.0810
_cell_angle_alpha 90.00
_cell_angle_beta 90.00
_cell_angle_gamma 120.00
_symmetry_space_group_name_H-M 'R -3 m'
_symmetry_Int_Tables_number 166
_symmetry_space_group_name_Hall '-R 3 2"'
loop_
_atom_site_label
_atom_site_type_symbol
_atom_site_fract_x
_atom_site_fract_y
_atom_site_fract_z
Si1 Si 0.0000 0.0000 0.0694
Si2 Si 0.0000 0.0000 0.2136
Si3 Si 0.0000 0.0000 0.3579
Ni1 Ni 0.0000 0.0000 0.0000
Ni2 Ni 0.0000 0.0000 0.4247
Au1 Au 0.0000 0.0000 0.5000
```

Peak list (10 most intense, 2θ from 5° to 70°, in order of rising 2θ)
Position (°2θ)	Rel. int.
7.78	71.6
27.40	50.6
27.78	100.0
29.25	33.7
31.50	27.0
38.14	24.3
46.51	76.4
48.20	70.7
58.72	26.9
69.22	22.7

Record 8
The following is a theoretical PXRD pattern of Cu3PtF8. It was derived from a cell relaxed with GGA-PBE, using Cu Kα.

Atomic structure:
```
data_Cu3PtF8
_cell_length_a 5.615
_cell_length_b 5.664
_cell_length_c 6.563
_cell_angle_alpha 87.96
_cell_angle_beta 83.62
_cell_angle_gamma 60.94
_symmetry_space_group_name_H-M 'P -1'
_symmetry_Int_Tables_number 2
_symmetry_space_group_name_Hall '-P 1'
loop_
_atom_site_label
_atom_site_type_symbol
_atom_site_fract_x
_atom_site_fract_y
_atom_site_fract_z
Cu1 Cu 0.000 0.000 0.000
Cu2 Cu 0.492 0.030 0.241
Pt1 Pt 0.500 0.500 0.500
F1 F 0.218 0.176 0.986
F2 F 0.270 0.773 0.762
F3 F 0.289 0.300 0.470
F4 F 0.316 0.788 0.296
```

Peak list (10 most intense, 2θ from 5° to 70°, in order of rising 2θ)
Position (°2θ)	Rel. int.
13.58	33.8
18.18	100.0
21.54	59.9
22.32	83.4
22.79	51.0
23.92	51.2
37.13	44.7
40.43	45.7
43.72	47.6
56.48	27.6